CoReO4: calculated powder diffraction line list (Cu Kα (λ = 1.5418 Å)), based on a DFT-relaxed cell (GGA+U, Alexandria).
Peak positions follow from Bragg's law for the DFT cell and can differ from measured ones.

Unit cell a=5.844 b=5.844 c=7.190 alpha=90.00 beta=90.00 gamma=90.00
Sites, in units of the cell vectors:
Co: 0.000 0.000 0.000
Co: 0.500 0.500 0.500
Re: 0.000 0.500 0.250
Re: 0.500 0.000 0.750
O: 0.123 0.720 0.107
O: 0.220 0.377 0.393
O: 0.280 0.123 0.893
O: 0.377 0.780 0.607
O: 0.623 0.220 0.607
O: 0.720 0.877 0.893
O: 0.780 0.623 0.393
O: 0.877 0.280 0.107

Peak list (12 most intense, 10° ≤ 2θ ≤ 90°, sorted by position)
Position (°2θ)	d/Å	intensity
19.6	4.535	100
21.5	4.132	14
30.6	2.922	16
33.0	2.712	35
36.6	2.456	28
40.7	2.217	9
43.8	2.066	8
51.8	1.766	15
55.9	1.644	16
58.4	1.581	10
60.5	1.531	7
67.3	1.391	6

Co3Rh4O12: calculated powder diffraction line list (Cu Kα (λ = 1.5418 Å)), based on a DFT-relaxed cell (GGA+U, Alexandria).
Peak positions follow from Bragg's law for the DFT cell and can differ from measured ones.

Unit cell a=6.434 b=6.434 c=6.434 alpha=109.47 beta=109.47 gamma=109.47
Sites, in units of the cell vectors:
Co: 0.000 0.500 0.500
Co: 0.500 0.000 0.500
Co: 0.500 0.500 0.000
Rh: 0.000 0.000 0.500
Rh: 0.000 0.500 0.000
Rh: 0.500 0.000 0.000
Rh: 0.500 0.500 0.500
O: 0.147 0.825 0.322
O: 0.175 0.322 0.497
O: 0.175 0.678 0.853
O: 0.322 0.147 0.825
O: 0.322 0.497 0.175
O: 0.497 0.175 0.322
O: 0.503 0.825 0.678
O: 0.678 0.503 0.825
O: 0.678 0.853 0.175
O: 0.825 0.322 0.147
O: 0.825 0.678 0.503
O: 0.853 0.175 0.678

Peak list (12 most intense, 10° ≤ 2θ ≤ 90°, sorted by position)
Position (°2θ)	d/Å	intensity
16.9	5.253	11
24.0	3.714	26
29.5	3.033	6
34.1	2.627	100
38.3	2.349	5
42.1	2.145	3
49.1	1.857	23
55.3	1.661	13
61.1	1.516	48
71.9	1.313	12
82.0	1.175	17
87.0	1.120	4

SrCo2Rh2O7: calculated powder diffraction line list (Cu Kα (λ = 1.5418 Å)), based on a DFT-relaxed cell (GGA+U, Alexandria).
Peak positions follow from Bragg's law for the DFT cell and can differ from measured ones.

Unit cell a=8.761 b=8.761 c=8.761 alpha=153.23 beta=38.07 gamma=153.43
Sites, in units of the cell vectors:
Sr: 0.000 0.000 0.000
Co: 0.221 0.469 0.751
Co: 0.718 0.469 0.249
Rh: 0.370 0.986 0.383
Rh: 0.603 0.986 0.617
O: 0.115 0.480 0.636
O: 0.226 0.967 0.259
O: 0.327 0.458 0.869
O: 0.590 0.458 0.131
O: 0.616 0.116 0.500
O: 0.707 0.967 0.741
O: 0.844 0.480 0.364

Peak list (12 most intense, 10° ≤ 2θ ≤ 90°, sorted by position)
Position (°2θ)	d/Å	intensity
27.3	3.269	69
27.4	3.253	74
33.2	2.701	100
35.0	2.566	55
35.1	2.558	55
43.7	2.070	60
44.7	2.028	63
45.0	2.013	56
64.3	1.449	34
64.6	1.443	31
65.3	1.429	33
81.9	1.176	30

TiCoRh2O6: calculated powder diffraction line list (Cu Kα (λ = 1.5418 Å)), based on a DFT-relaxed cell (GGA+U, Alexandria).
Peak positions follow from Bragg's law for the DFT cell and can differ from measured ones.

Unit cell a=5.570 b=5.570 c=5.570 alpha=54.85 beta=54.85 gamma=54.85
Sites, in units of the cell vectors:
Ti: 0.000 0.000 0.000
Co: 0.502 0.502 0.502
Rh: 0.301 0.301 0.301
Rh: 0.803 0.803 0.803
O: 0.077 0.385 0.718
O: 0.202 0.893 0.602
O: 0.385 0.718 0.077
O: 0.602 0.202 0.893
O: 0.718 0.077 0.385
O: 0.893 0.602 0.202

Peak list (12 most intense, 10° ≤ 2θ ≤ 90°, sorted by position)
Position (°2θ)	d/Å	intensity
23.6	3.763	72
32.3	2.768	100
35.0	2.566	91
40.0	2.254	12
42.7	2.120	12
48.4	1.882	36
52.7	1.736	71
61.1	1.517	33
62.7	1.481	33
69.7	1.348	16
83.0	1.164	12
86.3	1.127	15

V2CoRhO8: calculated powder diffraction line list (Cu Kα (λ = 1.5418 Å)), based on a DFT-relaxed cell (GGA+U, Alexandria).
Peak positions follow from Bragg's law for the DFT cell and can differ from measured ones.

Unit cell a=5.625 b=5.625 c=5.366 alpha=90.00 beta=90.00 gamma=120.00
Sites, in units of the cell vectors:
V: 0.333 0.667 0.163
V: 0.667 0.333 0.837
Co: 0.000 0.000 0.000
Rh: 0.000 0.000 0.500
O: 0.151 0.302 0.236
O: 0.151 0.849 0.236
O: 0.302 0.151 0.764
O: 0.333 0.667 0.863
O: 0.667 0.333 0.137
O: 0.698 0.849 0.236
O: 0.849 0.151 0.764
O: 0.849 0.698 0.764

Peak list (12 most intense, 10° ≤ 2θ ≤ 90°, sorted by position)
Position (°2θ)	d/Å	intensity
18.2	4.872	92
24.7	3.607	63
31.8	2.813	100
38.3	2.350	49
46.8	1.941	19
50.6	1.803	39
52.5	1.742	18
56.7	1.624	17
61.0	1.518	33
66.5	1.406	19
73.2	1.293	12
79.4	1.207	12

SrCo3Ru4O12: calculated powder diffraction line list (Cu Kα (λ = 1.5418 Å)), based on a DFT-relaxed cell (GGA+U, Alexandria).
Peak positions follow from Bragg's law for the DFT cell and can differ from measured ones.

Unit cell a=6.555 b=6.555 c=6.555 alpha=109.47 beta=109.47 gamma=109.47
Sites, in units of the cell vectors:
Sr: 0.000 0.000 0.000
Co: 0.000 0.500 0.500
Co: 0.500 0.000 0.500
Co: 0.500 0.500 0.000
Ru: 0.000 0.000 0.500
Ru: 0.000 0.500 0.000
Ru: 0.500 0.000 0.000
Ru: 0.500 0.500 0.500
O: 0.133 0.311 0.822
O: 0.178 0.490 0.311
O: 0.178 0.867 0.689
O: 0.311 0.178 0.490
O: 0.311 0.822 0.133
O: 0.490 0.311 0.178
O: 0.510 0.689 0.822
O: 0.689 0.178 0.867
O: 0.689 0.822 0.510
O: 0.822 0.133 0.311
O: 0.822 0.510 0.689
O: 0.867 0.689 0.178

Peak list (12 most intense, 10° ≤ 2θ ≤ 90°, sorted by position)
Position (°2θ)	d/Å	intensity
23.5	3.784	8
33.5	2.676	100
37.6	2.393	4
44.8	2.023	3
48.1	1.892	24
54.2	1.692	4
59.9	1.545	47
70.4	1.338	13
75.3	1.261	1
80.2	1.197	17
85.0	1.141	1
89.8	1.092	5

SrCoRuO5: calculated powder diffraction line list (Cu Kα (λ = 1.5418 Å)), based on a DFT-relaxed cell (GGA+U, Alexandria).
Peak positions follow from Bragg's law for the DFT cell and can differ from measured ones.

Unit cell a=5.738 b=5.738 c=7.351 alpha=102.83 beta=102.83 gamma=108.53
Sites, in units of the cell vectors:
Sr: 0.167 0.833 0.750
Sr: 0.833 0.167 0.250
Co: 0.184 0.816 0.250
Co: 0.816 0.184 0.750
Ru: 0.500 0.500 0.000
Ru: 0.500 0.500 0.500
O: 0.135 0.255 0.924
O: 0.210 0.600 0.400
O: 0.255 0.135 0.424
O: 0.400 0.790 0.100
O: 0.434 0.566 0.750
O: 0.566 0.434 0.250
O: 0.600 0.210 0.900
O: 0.745 0.865 0.576
O: 0.790 0.400 0.600
O: 0.865 0.745 0.076

Peak list (12 most intense, 10° ≤ 2θ ≤ 90°, sorted by position)
Position (°2θ)	d/Å	intensity
17.2	5.161	21
26.4	3.371	100
28.8	3.100	78
32.2	2.776	90
32.6	2.746	58
35.9	2.499	20
36.4	2.465	21
42.8	2.113	22
50.7	1.799	19
53.2	1.720	30
55.5	1.656	18
58.7	1.573	33

Sr3CoRuO7: calculated powder diffraction line list (Cu Kα (λ = 1.5418 Å)), based on a DFT-relaxed cell (GGA+U, Alexandria).
Peak positions follow from Bragg's law for the DFT cell and can differ from measured ones.

Unit cell a=10.617 b=10.617 c=10.617 alpha=158.64 beta=158.64 gamma=30.38
Sites, in units of the cell vectors:
Sr: 0.000 0.000 0.000
Sr: 0.170 0.170 0.000
Sr: 0.368 0.368 0.000
Co: 0.580 0.580 0.000
Ru: 0.777 0.777 0.000
O: 0.085 0.585 0.500
O: 0.280 0.780 0.500
O: 0.485 0.485 0.000
O: 0.585 0.085 0.500
O: 0.683 0.683 0.000
O: 0.780 0.280 0.500
O: 0.875 0.875 0.000

Peak list (12 most intense, 10° ≤ 2θ ≤ 90°, sorted by position)
Position (°2θ)	d/Å	intensity
26.1	3.410	8
31.5	2.838	100
32.2	2.782	65
41.9	2.157	10
44.2	2.049	15
46.1	1.968	47
55.7	1.650	15
56.9	1.617	38
65.8	1.419	16
67.3	1.391	16
76.2	1.249	8
76.6	1.244	10

CoS2O8: calculated powder diffraction line list (Cu Kα (λ = 1.5418 Å)), based on a DFT-relaxed cell (GGA+U, Alexandria).
Peak positions follow from Bragg's law for the DFT cell and can differ from measured ones.

Unit cell a=8.845 b=8.845 c=8.845 alpha=57.97 beta=57.97 gamma=57.97
Sites, in units of the cell vectors:
Co: 0.000 0.000 0.000
Co: 0.208 0.208 0.208
Co: 0.712 0.712 0.712
S: 0.096 0.394 0.825
S: 0.309 0.900 0.604
S: 0.394 0.825 0.096
S: 0.604 0.309 0.900
S: 0.825 0.096 0.394
S: 0.900 0.604 0.309
O: 0.003 0.095 0.379
O: 0.021 0.252 0.869
O: 0.048 0.410 0.329
O: 0.095 0.379 0.003
O: 0.121 0.982 0.739
O: 0.252 0.869 0.021
O: 0.288 0.361 0.685
O: 0.312 0.729 0.612
O: 0.329 0.048 0.410
O: 0.361 0.685 0.288
O: 0.379 0.003 0.095
O: 0.410 0.329 0.048
O: 0.465 0.862 0.653
O: 0.585 0.756 0.962
O: 0.612 0.312 0.729
O: 0.653 0.465 0.862
O: 0.685 0.288 0.361
O: 0.729 0.612 0.312
O: 0.739 0.121 0.982
O: 0.756 0.962 0.585
O: 0.862 0.653 0.465
O: 0.869 0.021 0.252
O: 0.962 0.585 0.756
O: 0.982 0.739 0.121

Peak list (12 most intense, 10° ≤ 2θ ≤ 90°, sorted by position)
Position (°2θ)	d/Å	intensity
12.6	7.034	20
14.4	6.153	44
20.1	4.418	30
24.1	3.700	100
24.3	3.664	9
29.0	3.076	27
32.1	2.785	45
36.3	2.475	10
49.3	1.850	9
52.9	1.731	11
56.6	1.627	8
56.8	1.620	9

CoSO4: calculated powder diffraction line list (Cu Kα (λ = 1.5418 Å)), based on a DFT-relaxed cell (GGA+U, Alexandria).
Peak positions follow from Bragg's law for the DFT cell and can differ from measured ones.

Unit cell a=8.678 b=6.786 c=4.820 alpha=90.00 beta=90.00 gamma=90.00
Sites, in units of the cell vectors:
Co: 0.000 0.000 0.000
Co: 0.000 0.500 0.000
Co: 0.500 0.000 0.500
Co: 0.500 0.500 0.500
S: 0.178 0.250 0.473
S: 0.322 0.750 0.973
S: 0.678 0.250 0.027
S: 0.822 0.750 0.527
O: 0.124 0.250 0.767
O: 0.125 0.068 0.336
O: 0.125 0.432 0.336
O: 0.147 0.750 0.959
O: 0.353 0.250 0.459
O: 0.375 0.568 0.836
O: 0.375 0.932 0.836
O: 0.376 0.750 0.267
O: 0.624 0.250 0.733
O: 0.625 0.068 0.164
O: 0.625 0.432 0.164
O: 0.647 0.750 0.541
O: 0.853 0.250 0.041
O: 0.875 0.568 0.664
O: 0.875 0.932 0.664
O: 0.876 0.750 0.233

Peak list (12 most intense, 10° ≤ 2θ ≤ 90°, sorted by position)
Position (°2θ)	d/Å	intensity
20.5	4.339	22
21.1	4.214	68
24.3	3.656	41
24.9	3.580	100
33.5	2.673	74
33.9	2.643	62
36.2	2.480	63
37.3	2.410	21
45.3	2.002	24
49.9	1.828	18
51.0	1.790	39
63.2	1.471	25

Sr2CoSO3: calculated powder diffraction line list (Cu Kα (λ = 1.5418 Å)), based on a DFT-relaxed cell (GGA+U, Alexandria).
Peak positions follow from Bragg's law for the DFT cell and can differ from measured ones.

Unit cell a=4.029 b=4.029 c=13.528 alpha=90.00 beta=90.00 gamma=90.00
Sites, in units of the cell vectors:
Sr: 0.250 0.250 0.103
Sr: 0.250 0.250 0.357
Sr: 0.750 0.750 0.643
Sr: 0.750 0.750 0.897
Co: 0.250 0.250 0.780
Co: 0.750 0.750 0.220
S: 0.250 0.250 0.596
S: 0.750 0.750 0.404
O: 0.250 0.250 0.918
O: 0.250 0.750 0.227
O: 0.250 0.750 0.773
O: 0.750 0.250 0.227
O: 0.750 0.250 0.773
O: 0.750 0.750 0.082

Peak list (12 most intense, 10° ≤ 2θ ≤ 90°, sorted by position)
Position (°2θ)	d/Å	intensity
13.1	6.764	29
29.7	3.004	53
31.4	2.849	100
34.6	2.590	43
40.1	2.246	32
41.4	2.179	40
45.0	2.015	56
54.9	1.673	20
58.0	1.590	19
61.9	1.500	17
65.5	1.425	17
74.5	1.274	16

Tb2CoTe2S2O14: calculated powder diffraction line list (Cu Kα (λ = 1.5418 Å)), based on a DFT-relaxed cell (GGA+U, Alexandria).
Peak positions follow from Bragg's law for the DFT cell and can differ from measured ones.

Unit cell a=5.365 b=7.916 c=8.182 alpha=64.56 beta=72.69 gamma=86.65
Sites, in units of the cell vectors:
Tb: 0.090 0.252 0.019
Tb: 0.910 0.748 0.981
Co: 0.000 0.000 0.500
Te: 0.477 0.732 0.658
Te: 0.523 0.268 0.342
S: 0.223 0.756 0.246
S: 0.777 0.244 0.754
O: 0.060 0.603 0.260
O: 0.139 0.782 0.423
O: 0.184 0.928 0.081
O: 0.243 0.567 0.896
O: 0.250 0.927 0.667
O: 0.277 0.195 0.253
O: 0.497 0.284 0.791
O: 0.503 0.716 0.209
O: 0.723 0.805 0.747
O: 0.750 0.073 0.333
O: 0.757 0.433 0.104
O: 0.816 0.072 0.919
O: 0.861 0.218 0.577
O: 0.940 0.397 0.740

Peak list (12 most intense, 10° ≤ 2θ ≤ 90°, sorted by position)
Position (°2θ)	d/Å	intensity
13.3	6.649	46
18.1	4.896	25
24.1	3.692	26
24.4	3.648	100
25.0	3.563	73
26.0	3.422	26
29.7	3.004	46
30.5	2.927	25
32.9	2.720	30
35.1	2.558	32
37.3	2.408	25
41.5	2.177	25